Entry 1:
For LaPaCrO6, a structure optimized by DFT (PBE+U) gives the simulated powder diffractogram in this record (Cu Kα).
Kinematic intensities with the Lorentz-polarization factor, no thermal factor.

Crystal structure
abc: 5.5056 5.5056 4.8043
angles: 90.00 90.00 120.00
Atoms (fractional coordinates):
La 0.0000 0.0000 0.0000
Pa 0.6667 0.3333 0.5000
Cr 0.3333 0.6667 0.0000
O 0.0214 0.3899 0.2371
O 0.0214 0.6315 0.7629
O 0.3685 0.3899 0.7629
O 0.3685 0.9786 0.2371
O 0.6101 0.6315 0.2371
O 0.6101 0.9786 0.7629

Largest 10 diffraction maxima, in order of falling intensity, 10 to 90 degrees two-theta:
| h k l | 2θ/deg | I_rel |
| --- | --- | --- |
| 1 0 1 | 26.33 | 100 |
| 1 1 0 | 32.53 | 37 |
| 2 -1 2 | 50.42 | 33 |
| 2 0 1 | 42.32 | 29 |
| 2 1 1 | 54.37 | 28 |
| 1 0 0 | 18.61 | 20 |
| 3 0 0 | 58.03 | 12 |
| 4 -1 1 | 74.41 | 11 |
| 1 0 3 | 61.04 | 10 |
| 3 -1 3 | 80.18 | 9 |

Entry 2:
For LaCrS2O, a structure optimized by DFT (PBE+U) gives the simulated powder diffractogram in this record (Cu Kα).
Kinematic intensities with the Lorentz-polarization factor, no thermal factor.

Crystal structure
abc: 8.5335 3.7573 11.2999
angles: 90.00 90.00 90.00
Atoms (fractional coordinates):
La 0.0460 0.2500 0.1477
La 0.4540 0.7500 0.6477
La 0.5460 0.2500 0.3523
La 0.9540 0.7500 0.8523
Cr 0.1695 0.2500 0.4720
Cr 0.3305 0.7500 0.9720
Cr 0.6695 0.2500 0.0280
Cr 0.8305 0.7500 0.5280
S 0.0970 0.7500 0.6023
S 0.2422 0.7500 0.3315
S 0.2578 0.2500 0.8315
S 0.4030 0.2500 0.1023
S 0.5970 0.7500 0.8977
S 0.7422 0.7500 0.1685
S 0.7578 0.2500 0.6685
S 0.9030 0.2500 0.3977
O 0.1126 0.7500 0.0367
O 0.3874 0.2500 0.5367
O 0.6126 0.7500 0.4633
O 0.8874 0.2500 0.9633

Largest 10 diffraction maxima, in order of falling intensity, 10 to 90 degrees two-theta:
| h k l | 2θ/deg | I_rel |
| --- | --- | --- |
| 3 0 2 | 35.34 | 100 |
| 2 1 1 | 32.73 | 62 |
| 1 0 3 | 25.86 | 59 |
| 0 1 1 | 24.97 | 47 |
| 2 1 5 | 51.85 | 40 |
| 1 1 2 | 30.43 | 37 |
| 1 0 1 | 13.00 | 31 |
| 1 1 4 | 41.36 | 28 |
| 0 0 4 | 31.70 | 26 |
| 3 0 1 | 32.46 | 24 |

- What is the formula in the second record?
  LaCrS2O